Calculated X-ray diffraction stick pattern of Mg2Zr3Rh3 for Cu Kα (weighted mean of Kα1 and Kα2), from a crystal structure in Alexandria, relaxed with PBE.
Lines closer than 0.1° are merged.

```
16
Lattice="7.9033 0.0000 0.0000 -3.9517 6.8445 0.0000 0.0000 0.0000 5.4395" Properties=species:S:1:pos:R:3 pbc="T T T"
Mg 0.0000 4.5630 0.0000
Mg 0.0000 4.5630 2.7198
Mg 3.9517 2.2815 0.0000
Mg 3.9517 2.2815 2.7198
Zr -0.9810 1.6991 1.3599
Zr -2.9707 5.1453 4.0796
Zr 1.9620 0.0000 1.3599
Zr 0.9810 1.6991 4.0796
Zr 5.9413 0.0000 4.0796
Zr 2.9707 5.1453 1.3599
Rh -1.5509 2.6862 4.0796
Rh -2.4008 4.1582 1.3599
Rh 3.1018 0.0000 4.0796
Rh 1.5509 2.6862 1.3599
Rh 4.8015 0.0000 1.3599
Rh 2.4008 4.1582 4.0796
```

Main lines, low angle first (5° ≤ 2θ ≤ 70°):
2θ (°)  d_spacing  I (rel.)
22.50  3.952  33
32.93  2.720  37
34.68  2.587  12
38.54  2.336  100
39.50  2.281  26
40.25  2.240  35
50.95  1.792  18
52.34  1.748  11
61.46  1.509  10
62.56  1.485  23